For LiNiW2O8, a crystal structure in the Materials Project, relaxed with PBE+U gives the simulated X-ray powder pattern in this record (Cu Ka).
Kinematic intensities with the Lorentz-polarization factor, no thermal factor.

Main lines, sorted by position (2θ from 10° to 90°):
| (hkl) | Position (°2θ) | intensity |
| --- | --- | --- |
| 0 1 0 | 18.6 | 100 |
| 0 1 1 | 19.6 | 49 |
| 1 1 1 | 23.5 | 45 |
| 1 0 -1 | 23.6 | 47 |
| 1 0 1 | 28.0 | 59 |
| 1 1 -1 | 28.2 | 57 |
| 1 2 1 | 32.0 | 92 |
| 2 1 0 | 35.6 | 51 |

Structural model:
```
data_LiNiW2O8
_chemical_formula_sum 'Li1 Ni1 W2 O8'
_cell_length_a 5.043
_cell_length_b 5.739
_cell_length_c 5.834
_cell_angle_alpha 69.88
_cell_angle_beta 89.63
_cell_angle_gamma 64.06
_symmetry_space_group_name_H-M 'P 1'
_symmetry_Int_Tables_number 1
_symmetry_space_group_name_Hall 'P 1'
loop_
_atom_site_label
_atom_site_fract_x
_atom_site_fract_y
_atom_site_fract_z
_atom_site_occupancy
Li1 0.000 0.000 0.000 1
Ni1 0.465 0.068 0.299 1
W1 0.224 0.550 0.626 1
W2 0.703 0.591 0.960 1
O1 0.142 0.347 0.969 1
O2 0.228 0.319 0.483 1
O3 0.242 0.833 0.356 1
O4 0.288 0.781 0.837 1
O5 0.643 0.352 0.762 1
O6 0.697 0.295 0.220 1
O7 0.719 0.822 0.103 1
O8 0.787 0.777 0.618 1
```